Diffraction record for Ac3Mo. The powder XRD pattern is computed, not measured: it uses a crystal structure in the Materials Project, relaxed with PBE and Cu Kα, 1.54184 Å.
Intensities are scaled so that the largest is 100.

Main lines, in order of falling intensity (2θ from 10° to 80°):
- 2θ 30.01, intensity 100
- 2θ 35.57, intensity 32
- 2θ 60.48, intensity 28
- 2θ 49.43, intensity 26
- 2θ 33.18, intensity 19
- 2θ 57.33, intensity 17
- 2θ 62.37, intensity 13
- 2θ 51.19, intensity 12
- 2θ 19.41, intensity 7
- 2θ 75.31, intensity 4
- 2θ 16.42, intensity 3
- 2θ 30.50, intensity 2

Atomic structure:
Unit cell a=6.4728 b=6.4728 c=6.4728 alpha=134.10 beta=134.10 gamma=66.93
Positions (direct):
Ac: 0.0000 0.0000 0.0000
Ac: 0.2500 0.7500 0.5000
Ac: 0.7500 0.2500 0.5000
Mo: 0.5000 0.5000 0.0000



Diffraction record for SnH8N2Cl6. The powder XRD pattern is computed, not measured: it uses a crystal structure in the Materials Project, relaxed with PBE and Cu Kα, 1.54184 Å.
Intensities are scaled so that the largest is 100.

Main lines, in order of falling intensity (2θ from 10° to 80°):
- 2θ 15.05, intensity 100
- 2θ 17.39, intensity 76
- 2θ 35.20, intensity 72
- 2θ 29.04, intensity 52
- 2θ 50.63, intensity 46
- 2θ 39.52, intensity 43
- 2θ 53.13, intensity 25
- 2θ 46.26, intensity 25
- 2θ 53.95, intensity 22
- 2θ 24.69, intensity 19
- 2θ 30.36, intensity 19
- 2θ 38.48, intensity 18

Atomic structure:
Unit cell a=7.2111 b=7.2111 c=7.2111 alpha=60.00 beta=60.00 gamma=60.00
Positions (direct):
Sn: 0.0000 0.0000 0.0000
H: 0.0747 0.3084 0.3084
H: 0.3084 0.0747 0.3084
H: 0.3084 0.3084 0.0747
H: 0.3084 0.3084 0.3084
H: 0.6916 0.6916 0.6916
H: 0.6916 0.6916 0.9253
H: 0.6916 0.9253 0.6916
H: 0.9253 0.6916 0.6916
N: 0.2500 0.2500 0.2500
N: 0.7500 0.7500 0.7500
Cl: 0.2425 0.2425 0.7575
Cl: 0.2425 0.7575 0.2425
Cl: 0.2425 0.7575 0.7575
Cl: 0.7575 0.2425 0.2425
Cl: 0.7575 0.2425 0.7575
Cl: 0.7575 0.7575 0.2425



Diffraction record for Mg14TiZnO16. The powder XRD pattern is computed, not measured: it uses a crystal structure in the Materials Project, relaxed with PBE and Cu Kα, 1.54184 Å.
Intensities are scaled so that the largest is 100.

Main lines, in order of falling intensity (2θ from 10° to 80°):
- 2θ 42.08, intensity 100
- 2θ 61.29, intensity 56
- 2θ 42.43, intensity 49
- 2θ 61.02, intensity 28
- 2θ 36.33, intensity 26
- 2θ 77.14, intensity 25
- 2θ 10.30, intensity 13
- 2θ 73.14, intensity 10
- 2θ 20.68, intensity 6
- 2θ 73.62, intensity 5
- 2θ 29.53, intensity 5
- 2θ 23.30, intensity 4

Atomic structure:
Unit cell a=4.2611 b=8.5877 c=8.5911 alpha=90.00 beta=90.00 gamma=90.00
Positions (direct):
Mg: 0.0000 0.0000 0.0000
Mg: 0.0000 0.0000 0.5000
Mg: 0.0000 0.2493 0.2489
Mg: 0.0000 0.2493 0.7511
Mg: 0.0000 0.7507 0.2489
Mg: 0.0000 0.7507 0.7511
Mg: 0.5000 0.0000 0.2496
Mg: 0.5000 0.0000 0.7504
Mg: 0.5000 0.2470 0.5000
Mg: 0.5000 0.2499 0.0000
Mg: 0.5000 0.5000 0.2466
Mg: 0.5000 0.5000 0.7534
Mg: 0.5000 0.7501 0.0000
Mg: 0.5000 0.7530 0.5000
Ti: 0.0000 0.5000 0.5000
Zn: 0.0000 0.5000 0.0000
O: 0.0000 0.0000 0.2501
O: 0.0000 0.0000 0.7499
O: 0.0000 0.2451 0.0000
O: 0.0000 0.2446 0.5000
O: 0.0000 0.5000 0.2487
O: 0.0000 0.5000 0.7513
O: 0.0000 0.7549 0.0000
O: 0.0000 0.7554 0.5000
O: 0.5000 0.0000 0.0000
O: 0.5000 0.0000 0.5000
O: 0.5000 0.2512 0.2503
O: 0.5000 0.2512 0.7497
O: 0.5000 0.5000 0.0000
O: 0.5000 0.5000 0.5000
O: 0.5000 0.7488 0.2503
O: 0.5000 0.7488 0.7497



Q: Number 2 is which compound?
A: SnH8N2Cl6



Q: Number 1 is which compound?
A: Ac3Mo



Q: What is the formula in the third record?
A: Mg14TiZnO16